[1]
For ErNbNi, DFT lattice parameters and positions (PBE) gives the simulated powder diffraction line list in this record (Cu Kα (λ = 1.5418 Å)).

Cell and atoms:
Cell lengths 3.239, 3.239, 10.676 Å; angles 90.00, 90.00, 90.00 degrees
Sites, in units of the cell vectors:
Er  0.000  0.000  0.160
Er  0.000  0.000  0.840
Nb  0.500  0.500  0.366
Nb  0.500  0.500  0.634
Ni  0.000  0.000  0.500
Ni  0.500  0.500  0.000

Principal peaks in the range 5° ≤ 2θ ≤ 70°, low angle first:
2θ (°), I/Imax
27.54, 6
28.80, 16
33.58, 6
37.55, 100
39.34, 49
51.35, 7
52.66, 7
56.85, 17
59.22, 7
66.55, 13

=====

[2]
For ErNb3O6, DFT lattice parameters and positions (PBE) gives the simulated powder diffraction line list in this record (Cu Kα (λ = 1.5418 Å)).

Cell and atoms:
Cell lengths 8.870, 3.069, 9.267 Å; angles 90.00, 108.46, 90.00 degrees
Sites, in units of the cell vectors:
Er  0.110  0.250  0.366
Er  0.890  0.750  0.634
Nb  0.138  0.250  0.032
Nb  0.289  0.750  0.728
Nb  0.482  0.750  0.362
Nb  0.518  0.250  0.638
Nb  0.711  0.250  0.272
Nb  0.862  0.750  0.968
O  0.070  0.750  0.178
O  0.101  0.250  0.624
O  0.227  0.750  0.927
O  0.308  0.750  0.497
O  0.319  0.250  0.250
O  0.431  0.250  0.826
O  0.569  0.750  0.174
O  0.681  0.750  0.750
O  0.692  0.250  0.503
O  0.773  0.250  0.073
O  0.899  0.750  0.376
O  0.930  0.250  0.822

Principal peaks in the range 5° ≤ 2θ ≤ 70°, low angle first:
2θ (°), I/Imax
10.06, 85
10.51, 51
26.22, 74
28.92, 52
30.51, 74
31.94, 74
35.33, 89
36.23, 100
39.57, 50
46.53, 46

=====

[3]
For Er2PuNb, DFT lattice parameters and positions (PBE) gives the simulated powder diffraction line list in this record (Cu Kα (λ = 1.5418 Å)).

Cell and atoms:
Cell lengths 11.607, 11.607, 11.607 Å; angles 15.94, 15.94, 15.94 degrees
Sites, in units of the cell vectors:
Er  0.085  0.085  0.085
Er  0.915  0.915  0.915
Pu  0.500  0.500  0.500
Nb  0.000  0.000  0.000

Principal peaks in the range 5° ≤ 2θ ≤ 70°, low angle first:
2θ (°), I/Imax
7.72, 71
31.23, 67
32.53, 100
34.72, 65
37.08, 50
41.71, 58
49.47, 27
56.20, 18
57.23, 37
66.65, 46